Entry 1:
# TaZnPt2
Simulated powder X-ray diffraction pattern, copper Kα. Input: a DFT-relaxed cell (PBE, OQMD).

Structure:
```
data_TaZnPt2
_space_group_name_H-M_alt 'F -4 3 m'
_space_group_IT_number 216
_space_group_name_Hall 'F -4 2 3'
_cell_length_a 6.3201
_cell_length_b 6.3201
_cell_length_c 6.3201
_cell_angle_alpha 90.00
_cell_angle_beta 90.00
_cell_angle_gamma 90.00
loop_
_atom_site_label
_atom_site_fract_x
_atom_site_fract_y
_atom_site_fract_z
_atom_site_occupancy
Ta1 0.0000 0.0000 0.0000 1
Zn1 0.2500 0.2500 0.7500 1
Pt1 0.0000 0.0000 0.5000 1
Pt2 0.2500 0.2500 0.2500 1
```

Most intense lines, 2θ from 15° to 90°, most intense first:
| hkl | 2theta | I_rel |
| --- | --- | --- |
| 2 2 0 | 40.36 | 100 |
| 4 2 2 | 73.39 | 35 |
| 4 0 0 | 58.41 | 17 |
| 4 4 0 | 87.26 | 11 |
| 1 1 1 | 24.39 | 9 |
| 3 1 1 | 47.73 | 5 |
| 2 0 0 | 28.24 | 4 |
| 3 3 1 | 64.24 | 2 |
| 5 1 1 | 78.66 | 2 |
| 4 2 0 | 66.12 | 1 |
| 2 2 2 | 49.99 | 1 |

---

Entry 2:
# Th3Zn8Cd3
Simulated powder X-ray diffraction pattern, copper Kα. Input: a DFT-relaxed cell (PBE, OQMD).

Structure:
```
data_Th3Zn8Cd3
_space_group_name_H-M_alt 'I m m m'
_space_group_IT_number 71
_space_group_name_Hall '-I 2 2'
_cell_length_a 4.5130
_cell_length_b 9.1779
_cell_length_c 13.7087
_cell_angle_alpha 90.00
_cell_angle_beta 90.00
_cell_angle_gamma 90.00
loop_
_atom_site_label
_atom_site_fract_x
_atom_site_fract_y
_atom_site_fract_z
_atom_site_occupancy
Th1 0.0000 0.0000 0.0000 1
Th2 0.0000 0.0000 0.2924 1
Zn1 0.0000 0.2719 0.1515 1
Zn2 0.0000 0.3657 0.3396 1
Cd1 0.0000 0.2006 0.5000 1
Cd2 0.0000 0.5000 0.0000 1
```

Most intense lines, 2θ from 15° to 90°, most intense first:
| hkl | 2theta | I_rel |
| --- | --- | --- |
| 1 2 3 | 34.08 | 100 |
| 2 0 0 | 39.95 | 34 |
| 1 1 4 | 34.28 | 24 |
| 1 3 2 | 37.88 | 22 |
| 0 3 3 | 35.31 | 20 |
| 1 3 0 | 35.45 | 19 |
| 1 1 0 | 21.95 | 19 |
| 0 2 4 | 32.61 | 17 |
| 1 4 7 | 66.04 | 17 |
| 0 0 6 | 39.44 | 17 |
| 3 2 3 | 68.82 | 14 |
| 1 0 3 | 27.78 | 13 |

---

Entry 3:
# Sm4CBr4F
Simulated powder X-ray diffraction pattern, copper Kα. Input: a DFT-relaxed cell (PBE, OQMD).

Structure:
```
data_Sm4CBr4F
_space_group_name_H-M_alt 'C 1 2/m 1'
_space_group_IT_number 12
_space_group_name_Hall '-C 2y'
_cell_length_a 17.9790
_cell_length_b 3.7510
_cell_length_c 7.6619
_cell_angle_alpha 90.00
_cell_angle_beta 102.28
_cell_angle_gamma 90.00
loop_
_atom_site_label
_atom_site_fract_x
_atom_site_fract_y
_atom_site_fract_z
_atom_site_occupancy
Sm1 0.0009 0.0000 0.2710 1
Sm2 0.1404 0.5000 0.5737 1
C1 0.0000 0.5000 0.5000 1
Br1 0.1640 0.0000 0.8638 1
Br2 0.1708 0.0000 0.3076 1
F1 0.0000 0.5000 0.0000 1
```

Most intense lines, 2θ from 15° to 90°, most intense first:
| hkl | 2theta | I_rel |
| --- | --- | --- |
| 1 1 -2 | 33.43 | 100 |
| 5 1 2 | 45.90 | 59 |
| 6 0 0 | 30.53 | 50 |
| 5 1 0 | 34.99 | 31 |
| 6 0 -2 | 34.64 | 27 |
| 3 1 1 | 31.99 | 19 |
| 0 2 0 | 48.54 | 18 |
| 1 1 -1 | 26.58 | 17 |
| 1 1 0 | 24.26 | 15 |
| 6 2 0 | 58.44 | 15 |
| 2 0 -3 | 35.21 | 15 |
| 2 0 -4 | 47.47 | 15 |